Cu2SiNiS4: calculated XRD peak list (Cu Kα), based on DFT lattice parameters and positions (GGA-PBE).
Peak positions follow from Bragg's law for the DFT cell and can differ from measured ones.

Structure:
```
Cu2SiNiS4
1.0
3.2570 -3.5108 0.0000
3.2570 3.5108 0.0000
0.0000 0.0000 6.1699
Cu Si Ni S
2 1 1 4
Direct
0.0000 0.5000 0.0000
0.5000 0.0000 0.0000
0.0000 0.0000 0.5000
0.5000 0.5000 0.5000
0.2526 0.2526 0.2577
0.2526 0.2526 0.7423
0.7474 0.7474 0.2577
0.7474 0.7474 0.7423
```

Principal peaks in the range 10 to 90 degrees two-theta, low angle first:
- d 3.257, 2θ 27.38, I = 31
- d 3.051, 2θ 29.27, I = 92
- d 2.880, 2θ 31.05, I = 71
- d 2.317, 2θ 38.86, I = 22
- d 1.888, 2θ 48.19, I = 100
- d 1.755, 2θ 52.10, I = 19

***

NaCu4As3O12: calculated XRD peak list (Cu Kα), based on DFT lattice parameters and positions (GGA-PBE).
Peak positions follow from Bragg's law for the DFT cell and can differ from measured ones.

Structure:
```
NaCu4As3O12
1.0
6.0998 -6.2666 0.0000
6.0998 6.2666 0.0000
-3.5959 0.0000 6.6215
Na Cu As O
2 8 6 24
Direct
0.0060 0.9940 0.7500
0.9940 0.0060 0.2500
0.0650 0.3771 0.6415
0.2645 0.7355 0.2500
0.3771 0.0650 0.1415
0.4933 0.5067 0.7500
0.5067 0.4933 0.2500
0.6229 0.9350 0.8585
0.7355 0.2645 0.7500
0.9350 0.6229 0.3585
0.1078 0.3454 0.1188
0.2729 0.7271 0.7500
0.3454 0.1078 0.6188
0.6546 0.8922 0.3812
0.7271 0.2729 0.2500
0.8922 0.6546 0.8812
0.0229 0.6902 0.1259
0.0256 0.4151 0.3054
0.1539 0.7581 0.5371
0.1595 0.1691 0.6148
0.1691 0.1595 0.1148
0.2419 0.8461 0.9629
0.2732 0.4953 0.1761
0.2735 0.5192 0.7396
0.3098 0.9772 0.3741
0.4151 0.0256 0.8054
0.4808 0.7265 0.7604
0.4953 0.2732 0.6761
0.5047 0.7268 0.3239
0.5192 0.2735 0.2396
0.5849 0.9744 0.1946
0.6902 0.0229 0.6259
0.7265 0.4808 0.2604
0.7268 0.5047 0.8239
0.7581 0.1539 0.0371
0.8309 0.8405 0.8852
0.8405 0.8309 0.3852
0.8461 0.2419 0.4629
0.9744 0.5849 0.6946
0.9772 0.3098 0.8741
```

Principal peaks in the range 10 to 90 degrees two-theta, low angle first:
- d 3.549, 2θ 25.09, I = 100
- d 3.437, 2θ 25.93, I = 29
- d 3.311, 2θ 26.93, I = 40
- d 2.853, 2θ 31.36, I = 47
- d 2.705, 2θ 33.12, I = 95
- d 2.680, 2θ 33.43, I = 39

***

Ti5TlSe8: calculated XRD peak list (Cu Kα), based on DFT lattice parameters and positions (GGA-PBE).
Peak positions follow from Bragg's law for the DFT cell and can differ from measured ones.

Structure:
```
Ti5TlSe8
1.0
9.4513 -1.7870 0.0000
9.4513 1.7870 0.0000
-2.3204 0.0000 8.9490
Ti Tl Se
5 1 8
Direct
0.0000 0.0000 0.0000
0.2909 0.2909 0.6511
0.3476 0.3476 0.0016
0.6524 0.6524 0.9984
0.7091 0.7091 0.3489
0.5000 0.5000 0.5000
0.0857 0.0857 0.8191
0.1606 0.1606 0.4987
0.2423 0.2423 0.1617
0.4267 0.4267 0.8221
0.5733 0.5733 0.1779
0.7577 0.7577 0.8383
0.8394 0.8394 0.5013
0.9143 0.9143 0.1809
```

Principal peaks in the range 10 to 90 degrees two-theta, low angle first:
- d 2.983, 2θ 29.95, I = 33
- d 2.879, 2θ 31.07, I = 49
- d 2.808, 2θ 31.87, I = 100
- d 2.704, 2θ 33.13, I = 69
- d 2.294, 2θ 39.27, I = 44
- d 1.810, 2θ 50.41, I = 45

***

V3C2: calculated XRD peak list (Cu Kα), based on DFT lattice parameters and positions (GGA-PBE).
Peak positions follow from Bragg's law for the DFT cell and can differ from measured ones.

Structure:
```
V3C2
1.0
2.9552 0.0000 0.0000
-1.4776 2.5593 0.0000
0.0000 0.0000 27.5628
V C
12 8
Direct
0.0000 0.0000 0.1243
0.0000 0.0000 0.2925
0.0000 0.0000 0.7075
0.0000 0.0000 0.8757
0.3333 0.6667 0.3771
0.3333 0.6667 0.5418
0.3333 0.6667 0.7901
0.3333 0.6667 0.9581
0.6667 0.3333 0.0419
0.6667 0.3333 0.2099
0.6667 0.3333 0.4582
0.6667 0.3333 0.6229
0.0000 0.0000 0.4179
0.0000 0.0000 0.5821
0.3333 0.6667 0.0776
0.3333 0.6667 0.1670
0.3333 0.6667 0.2566
0.6667 0.3333 0.7434
0.6667 0.3333 0.8330
0.6667 0.3333 0.9224
```

Principal peaks in the range 10 to 90 degrees two-theta, low angle first:
- d 2.516, 2θ 35.68, I = 25
- d 2.321, 2θ 38.79, I = 100
- d 2.297, 2θ 39.22, I = 40
- d 2.146, 2θ 42.11, I = 95
- d 1.478, 2θ 62.90, I = 42
- d 1.243, 2θ 76.69, I = 29

***

Which formula does entry 2 have? NaCu4As3O12